(1)
Computed powder X-ray diffraction pattern of KTlTe4 for a wavelength of 1.5418 Å, from a cell relaxed with GGA-PBE.
Kinematic intensities with the Lorentz-polarization factor, no thermal factor.

Atomic structure:
abc: 11.3810 4.4984 4.4984
angles: 90.26 90.00 90.00
Fractional positions:
K (0.0000, 0.0000, 0.0000)
Tl (0.5000, 0.5015, 0.5015)
Te (0.2520, 0.0007, 0.5003)
Te (0.2520, 0.5003, 0.0007)
Te (0.7480, 0.0007, 0.5003)
Te (0.7480, 0.5003, 0.0007)

Main lines, by angle (2θ from 15° to 90°):
d [Å], Rel. int.
5.691, 36.2
4.183, 60.4
2.900, 23.8
2.845, 53.1
2.781, 100.0
2.772, 99.0
2.249, 54.7
1.764, 51.6
1.629, 39.7
1.382, 24.0

(2)
Computed powder X-ray diffraction pattern of PaZnInCo for a wavelength of 1.5418 Å, from a cell relaxed with GGA-PBE.
Kinematic intensities with the Lorentz-polarization factor, no thermal factor.

Atomic structure:
abc: 4.7102 4.7102 4.7102
angles: 60.00 60.00 60.00
Fractional positions:
Pa (0.0000, 0.0000, 0.0000)
Zn (0.7500, 0.7500, 0.7500)
In (0.5000, 0.5000, 0.5000)
Co (0.2500, 0.2500, 0.2500)

Main lines, by angle (2θ from 15° to 90°):
d [Å], Rel. int.
3.846, 12.1
3.331, 23.9
2.355, 100.0
2.008, 6.9
1.923, 7.2
1.665, 17.0
1.489, 9.9
1.360, 34.3
1.178, 10.8
1.110, 5.3

(3)
Computed powder X-ray diffraction pattern of Pm2PrSm2 for a wavelength of 1.5418 Å, from a cell relaxed with GGA-PBE.
Kinematic intensities with the Lorentz-polarization factor, no thermal factor.

Atomic structure:
abc: 6.3034 6.3034 10.1440
angles: 109.46 109.46 73.15
Fractional positions:
Pm (0.2042, 0.2887, 0.9996)
Pm (0.2887, 0.2042, 0.4996)
Pm (0.7113, 0.7958, 0.5004)
Pm (0.7958, 0.7113, 0.0004)
Pr (0.2508, 0.7492, 0.7500)
Pr (0.7492, 0.2508, 0.2500)
Sm (0.1584, 0.6481, 0.3469)
Sm (0.3519, 0.8416, 0.1531)
Sm (0.6481, 0.1584, 0.8469)
Sm (0.8416, 0.3519, 0.6531)

Main lines, by angle (2θ from 15° to 90°):
d [Å], Rel. int.
3.071, 92.2
2.912, 100.0
2.818, 21.1
2.741, 46.1
2.658, 16.7
2.523, 23.1
1.878, 30.8
1.613, 17.2
1.549, 33.0
1.371, 22.5